Diffraction record for Ho2PuTl9. The powder diffraction line list is computed, not measured: it uses a GGA-PBE-relaxed structure and a wavelength of 1.5418 Å.

Structure:
a = 4.7638 Å, b = 4.7638 Å, c = 14.3220 Å
α = 90.00°, β = 90.00°, γ = 90.00°
Sites, in units of the cell vectors:
Ho  0.0000  0.0000  0.1640
Ho  0.0000  0.0000  0.8360
Pu  0.0000  0.0000  0.5000
Tl  0.0000  0.5000  0.0000
Tl  0.0000  0.5000  0.3318
Tl  0.0000  0.5000  0.6682
Tl  0.5000  0.0000  0.0000
Tl  0.5000  0.0000  0.3318
Tl  0.5000  0.0000  0.6682
Tl  0.5000  0.5000  0.1673
Tl  0.5000  0.5000  0.5000
Tl  0.5000  0.5000  0.8327

Peak list (6 most intense, 5 to 70 degrees two-theta, in order of rising 2θ)
- 32.5°, intensity 100.0
- 37.7°, intensity 50.5
- 54.4°, intensity 35.7
- 64.8°, intensity 14.1
- 64.9°, intensity 28.3
- 68.1°, intensity 12.2

***

Diffraction record for HoTm2PuTl4. The powder diffraction line list is computed, not measured: it uses a GGA-PBE-relaxed structure and a wavelength of 1.5418 Å.

Structure:
a = 9.2674 Å, b = 9.2674 Å, c = 9.2674 Å
α = 33.55°, β = 33.55°, γ = 33.55°
Sites, in units of the cell vectors:
Ho  0.0000  0.0000  0.0000
Tm  0.2482  0.2482  0.2482
Tm  0.7518  0.7518  0.7518
Pu  0.5000  0.5000  0.5000
Tl  0.1231  0.1231  0.1231
Tl  0.3732  0.3732  0.3732
Tl  0.6268  0.6268  0.6268
Tl  0.8769  0.8769  0.8769

Peak list (4 most intense, 5 to 70 degrees two-theta, in order of rising 2θ)
- 30.7°, intensity 0.6
- 33.5°, intensity 100.0
- 48.1°, intensity 18.4
- 59.9°, intensity 38.4

***

Diffraction record for HoTm5Pu. The powder diffraction line list is computed, not measured: it uses a GGA-PBE-relaxed structure and a wavelength of 1.5418 Å.

Structure:
a = 8.5560 Å, b = 3.5411 Å, c = 13.9284 Å
α = 90.00°, β = 104.06°, γ = 90.00°
Sites, in units of the cell vectors:
Ho  0.0893  0.2500  0.1012
Ho  0.9107  0.7500  0.8988
Tm  0.1538  0.2500  0.7752
Tm  0.1668  0.7500  0.5655
Tm  0.1916  0.2500  0.3553
Tm  0.3296  0.7500  0.9850
Tm  0.4961  0.2500  0.2186
Tm  0.5039  0.7500  0.7814
Tm  0.6704  0.2500  0.0150
Tm  0.8084  0.7500  0.6447
Tm  0.8332  0.2500  0.4345
Tm  0.8462  0.7500  0.2248
Pu  0.4852  0.2500  0.5496
Pu  0.5148  0.7500  0.4504

Peak list (6 most intense, 5 to 70 degrees two-theta, in order of rising 2θ)
- 30.9°, intensity 35.7
- 31.6°, intensity 54.2
- 32.2°, intensity 42.8
- 32.4°, intensity 100.0
- 33.8°, intensity 40.2
- 36.1°, intensity 45.4

***

Diffraction record for Ho5Tm2Pu. The powder diffraction line list is computed, not measured: it uses a GGA-PBE-relaxed structure and a wavelength of 1.5418 Å.

Structure:
a = 6.2732 Å, b = 6.7275 Å, c = 11.7166 Å
α = 97.43°, β = 95.99°, γ = 90.41°
Sites, in units of the cell vectors:
Ho  0.0009  0.2533  0.0028
Ho  0.2257  0.0700  0.2429
Ho  0.2451  0.4504  0.4789
Ho  0.2642  0.2113  0.7519
Ho  0.2659  0.7056  0.7443
Ho  0.7341  0.2944  0.2557
Ho  0.7358  0.7887  0.2481
Ho  0.7549  0.5496  0.5211
Ho  0.7743  0.9300  0.7571
Ho  0.9991  0.7467  0.9972
Tm  0.0000  0.0000  0.5000
Tm  0.5000  0.0000  0.0000
Tm  0.5000  0.0000  0.5000
Tm  0.5000  0.5000  0.0000
Pu  0.2470  0.5862  0.2378
Pu  0.7530  0.4138  0.7622

Peak list (6 most intense, 5 to 70 degrees two-theta, in order of rising 2θ)
- 30.6°, intensity 53.4
- 31.0°, intensity 100.0
- 31.1°, intensity 59.9
- 32.9°, intensity 46.9
- 33.0°, intensity 40.7
- 34.1°, intensity 46.8